Pm2BeCo3Ge4: calculated powder XRD pattern (Cu Kα X-rays), based on a GGA-PBE-relaxed structure.

Top 10 peaks for 2θ = 10–80°, by angle:
index, d [Å], intensity
1 1 0, 2.899, 34
1 0 3, 2.546, 87
1 1 2, 2.491, 100
2 0 0, 2.050, 63
1 0 5, 1.760, 33
2 1 3, 1.597, 41
2 2 0, 1.449, 20
1 1 6, 1.417, 14
2 1 5, 1.336, 26
3 1 2, 1.253, 22

a = 4.0996 Å, b = 4.0996 Å, c = 9.7468 Å
α = 90.00°, β = 90.00°, γ = 90.00°
Atoms (fractional coordinates):
Pm (0.0000, 0.5000, 0.2491)
Pm (0.5000, 0.0000, 0.7509)
Be (0.0000, 0.0000, 0.5000)
Co (0.0000, 0.5000, 0.8758)
Co (0.5000, 0.0000, 0.1242)
Co (0.5000, 0.5000, 0.5000)
Ge (0.0000, 0.0000, 0.0000)
Ge (0.0000, 0.5000, 0.6326)
Ge (0.5000, 0.0000, 0.3674)
Ge (0.5000, 0.5000, 0.0000)